Diffraction record for Ba2Mg2MnF10. The X-ray powder pattern is theoretical, not measured: it uses a DFT-relaxed cell (PBE+U, Alexandria) and Cu Kα (weighted mean of Kα1 and Kα2).
No peak broadening, texture or thermal motion is included.

Largest 8 diffraction maxima, by angle, 2θ from 10° to 80°:
21.27°, rel. 32; 26.39°, rel. 44; 26.79°, rel. 100; 27.10°, rel. 86; 28.59°, rel. 68; 29.78°, rel. 38; 38.01°, rel. 67; 41.76°, rel. 92

Crystal structure
```
Ba2Mg2MnF10
1.0
9.3650 -2.9999 0.0000
9.3650 2.9999 0.0000
-2.9914 0.0000 7.7063
Ba Mg Mn F
4 4 2 20
Direct
0.1176 0.1176 0.2231
0.2136 0.2136 0.8007
0.7864 0.7864 0.1993
0.8824 0.8824 0.7769
0.2446 0.7554 0.5000
0.3234 0.3234 0.4919
0.6766 0.6766 0.5081
0.7554 0.2446 0.5000
0.4242 0.4242 0.0550
0.5758 0.5758 0.9450
0.0000 0.5000 0.5000
0.0205 0.0205 0.6742
0.0944 0.5908 0.0138
0.1368 0.6452 0.4858
0.2635 0.7365 0.0000
0.2683 0.2683 0.2419
0.3548 0.8632 0.5142
0.3621 0.3621 0.7519
0.4092 0.9056 0.9862
0.4764 0.4764 0.3284
0.5000 0.0000 0.5000
0.5236 0.5236 0.6716
0.5908 0.0944 0.0138
0.6379 0.6379 0.2481
0.6452 0.1368 0.4858
0.7317 0.7317 0.7581
0.7365 0.2635 0.0000
0.8632 0.3548 0.5142
0.9056 0.4092 0.9862
0.9795 0.9795 0.3258
```